Starting from a structure optimized by DFT (PBE), the powder XRD pattern of TlCu7S4 was calculated for a wavelength of 1.5418 Å.
Intensities are scaled so that the largest is 100.

Principal peaks in the range 10 to 80 degrees two-theta, by angle:
2θ/deg, d [Å], Rel. int., (hkl)
24.6, 3.612, 40.2, 2 2 0
25.1, 3.553, 40.5, 1 0 2
27.6, 3.231, 75.6, 1 3 0
30.7, 2.917, 52.6, 2 1 2
35.1, 2.554, 42.6, 4 0 0
35.4, 2.533, 100.0, 3 0 2
37.3, 2.408, 31.9, 3 3 0
39.7, 2.268, 86.7, 2 3 2
43.7, 2.073, 40.0, 1 4 2
50.8, 1.798, 51.3, 5 0 2
52.2, 1.752, 39.7, 5 3 0
54.1, 1.696, 29.0, 2 5 2

Structural model:
a = 10.2175 Å, b = 10.2175 Å, c = 7.5782 Å
α = 90.00°, β = 90.00°, γ = 90.00°
Space group P4/n (No. 85, origin choice 2)
Inequivalent atoms, fractional coordinates:
1 Tl 0.2500 0.2500 0.1167 [2 per cell]
2 Tl 0.2500 0.2500 0.6218 [2 per cell]
3 Cu 0.0000 0.0000 0.0000 [4 per cell]
4 Cu 0.0235 0.9474 0.6553 [8 per cell]
5 Cu 0.1099 0.7825 0.3871 [8 per cell]
6 Cu 0.1175 0.7713 0.8806 [8 per cell]
7 S 0.0097 0.6881 0.6311 [8 per cell]
8 S 0.0107 0.6899 0.1332 [8 per cell]



Starting from a structure optimized by DFT (PBE), the powder XRD pattern of TlCu7S4 was calculated for a wavelength of 1.5418 Å.
Intensities are scaled so that the largest is 100.

Principal peaks in the range 10 to 80 degrees two-theta, by angle:
2θ/deg, d [Å], Rel. int., (hkl)
17.4, 5.084, 22.6, 0 1 1
24.8, 3.593, 57.3, 1 0 1
27.7, 3.216, 62.6, 0 2 -1
30.4, 2.936, 42.1, 1 -1 1
35.3, 2.543, 100.0, -1 1 1
35.4, 2.536, 25.0, 1 2 2
37.5, 2.396, 25.2, 0 3 0
39.6, 2.275, 45.7, 1 0 3
43.6, 2.077, 20.3, 1 2 -2
47.4, 1.919, 24.0, 2 1 1
50.8, 1.799, 33.3, 1 -2 3
52.4, 1.746, 21.6, 0 1 4

Structural model:
a = 3.8390 Å, b = 7.4279 Å, c = 7.4471 Å
α = 86.29°, β = 75.18°, γ = 75.22°
Space group P1 (No. 1)
Inequivalent atoms, fractional coordinates:
1 Tl 0.0000 0.0000 0.0000 [1 per cell]
2 Cu 0.2610 0.4393 0.8978 [1 per cell]
3 Cu 0.3252 0.0748 0.4766 [1 per cell]
4 Cu 0.3696 0.6676 0.6155 [1 per cell]
5 Cu 0.6015 0.5695 0.0928 [1 per cell]
6 Cu 0.6580 0.3492 0.3877 [1 per cell]
7 Cu 0.9525 0.3984 0.6477 [1 per cell]
8 Cu 0.9879 0.6264 0.3450 [1 per cell]
9 S 0.2598 0.3385 0.1963 [1 per cell]
10 S 0.4129 0.8088 0.3357 [1 per cell]
11 S 0.5488 0.2003 0.6734 [1 per cell]
12 S 0.7745 0.6822 0.8048 [1 per cell]



Starting from a structure optimized by DFT (PBE), the powder XRD pattern of Tl2Cu2S3 was calculated for a wavelength of 1.5418 Å.
Intensities are scaled so that the largest is 100.

Principal peaks in the range 10 to 80 degrees two-theta, by angle:
2θ/deg, d [Å], Rel. int., (hkl)
19.9, 4.464, 27.6, 2 0 2
24.3, 3.661, 25.2, 1 1 1
25.5, 3.493, 57.2, 2 0 3
26.3, 3.394, 48.4, 2 1 0
27.2, 3.274, 100.0, 2 1 1
29.0, 3.081, 67.0, 4 0 1
29.3, 3.044, 33.2, 1 0 4
30.9, 2.895, 76.9, 0 1 3
31.8, 2.812, 25.6, 2 0 4
38.9, 2.316, 67.0, 4 1 2
45.2, 2.007, 41.4, 0 2 0
51.3, 1.780, 25.0, 2 1 6

Structural model:
a = 12.7155 Å, b = 4.0137 Å, c = 12.5407 Å
α = 90.00°, β = 90.00°, γ = 90.00°
Space group Pnma (No. 62)
Inequivalent atoms, fractional coordinates:
1 Tl 0.0636 0.2500 0.2489 [4 per cell]
2 Tl 0.1700 0.2500 0.5747 [4 per cell]
3 Cu 0.0798 0.7500 0.9744 [4 per cell]
4 Cu 0.2063 0.2500 0.8426 [4 per cell]
5 S 0.1173 0.7500 0.3728 [4 per cell]
6 S 0.1277 0.2500 0.0521 [4 per cell]
7 S 0.1392 0.7500 0.7941 [4 per cell]